No. 1
# CsGdO3
Computed X-ray powder pattern, Cu Kα X-rays. Input: a cell relaxed with GGA-PBE.

Atomic structure:
Lattice parameters (Å, degrees): 4.545 4.545 4.545 90.00 90.00 90.00
Positions (direct):
Cs (0.000, 0.000, 0.000)
Gd (0.500, 0.500, 0.500)
O (0.000, 0.500, 0.500)
O (0.500, 0.000, 0.500)
O (0.500, 0.500, 0.000)

Main lines, sorted by position (2θ from 10° to 90°):
- d = 4.545 Å, 19.53 deg, intensity 3.0
- d = 3.214 Å, 27.76 deg, intensity 100.0
- d = 2.273 Å, 39.66 deg, intensity 29.8
- d = 2.033 Å, 44.57 deg, intensity 1.4
- d = 1.856 Å, 49.09 deg, intensity 42.3
- d = 1.607 Å, 57.33 deg, intensity 19.3
- d = 1.437 Å, 64.87 deg, intensity 18.6
- d = 1.312 Å, 71.96 deg, intensity 6.4
- d = 1.215 Å, 78.78 deg, intensity 21.8
- d = 1.136 Å, 85.44 deg, intensity 3.0

---

No. 2
# Cs3GdP2O8
Computed X-ray powder pattern, Cu Kα X-rays. Input: a cell relaxed with GGA-PBE.

Atomic structure:
Lattice parameters (Å, degrees): 10.435 10.576 10.722 90.00 107.70 90.00
Positions (direct):
Cs (0.010, 0.000, 0.289)
Cs (0.035, 0.350, 0.165)
Cs (0.275, 0.061, 0.064)
Cs (0.278, 0.481, 0.519)
Cs (0.332, 0.602, 0.954)
Cs (0.480, 0.904, 0.722)
Cs (0.520, 0.404, 0.278)
Cs (0.668, 0.102, 0.046)
Cs (0.722, 0.981, 0.481)
Cs (0.725, 0.561, 0.936)
Cs (0.965, 0.850, 0.835)
Cs (0.990, 0.500, 0.711)
Gd (0.159, 0.148, 0.663)
Gd (0.343, 0.792, 0.336)
Gd (0.657, 0.292, 0.664)
Gd (0.841, 0.648, 0.337)
P (0.098, 0.669, 0.146)
P (0.134, 0.801, 0.578)
P (0.361, 0.138, 0.423)
P (0.400, 0.280, 0.849)
P (0.600, 0.780, 0.151)
P (0.639, 0.638, 0.577)
P (0.866, 0.301, 0.422)
P (0.902, 0.169, 0.854)
O (0.011, 0.257, 0.501)
O (0.022, 0.151, 0.797)
O (0.057, 0.615, 0.007)
O (0.119, 0.938, 0.627)
O (0.140, 0.813, 0.151)
O (0.196, 0.714, 0.695)
O (0.221, 0.804, 0.482)
O (0.227, 0.603, 0.239)
O (0.268, 0.344, 0.759)
O (0.277, 0.128, 0.519)
O (0.292, 0.223, 0.306)
O (0.366, 0.133, 0.833)
O (0.382, 0.002, 0.374)
O (0.435, 0.320, 0.992)
O (0.480, 0.808, 0.205)
O (0.496, 0.692, 0.501)
O (0.504, 0.192, 0.499)
O (0.520, 0.308, 0.795)
O (0.565, 0.820, 0.008)
O (0.618, 0.502, 0.626)
O (0.634, 0.633, 0.167)
O (0.708, 0.723, 0.694)
O (0.723, 0.628, 0.481)
O (0.732, 0.844, 0.241)
O (0.773, 0.103, 0.761)
O (0.779, 0.304, 0.518)
O (0.804, 0.214, 0.305)
O (0.860, 0.313, 0.849)
O (0.881, 0.438, 0.373)
O (0.943, 0.115, 0.993)
O (0.978, 0.651, 0.203)
O (0.989, 0.757, 0.499)

Main lines, sorted by position (2θ from 10° to 90°):
- d = 4.606 Å, 19.27 deg, intensity 32.8
- d = 4.497 Å, 19.74 deg, intensity 27.2
- d = 3.676 Å, 24.21 deg, intensity 34.0
- d = 3.622 Å, 24.58 deg, intensity 26.0
- d = 3.383 Å, 26.34 deg, intensity 43.2
- d = 3.325 Å, 26.82 deg, intensity 100.0
- d = 3.304 Å, 26.99 deg, intensity 59.3
- d = 3.166 Å, 28.19 deg, intensity 33.8
- d = 3.120 Å, 28.61 deg, intensity 63.1
- d = 3.069 Å, 29.09 deg, intensity 83.3

---

No. 3
# CsGdS2
Computed X-ray powder pattern, Cu Kα X-rays. Input: a cell relaxed with GGA-PBE.

Atomic structure:
Lattice parameters (Å, degrees): 8.408 8.408 8.408 28.65 28.65 28.65
Positions (direct):
Cs (0.000, 0.000, 0.000)
Gd (0.500, 0.500, 0.500)
S (0.227, 0.227, 0.227)
S (0.773, 0.773, 0.773)

Main lines, sorted by position (2θ from 10° to 90°):
- d = 4.029 Å, 22.06 deg, intensity 31.4
- d = 3.453 Å, 25.80 deg, intensity 53.8
- d = 3.095 Å, 28.85 deg, intensity 100.0
- d = 2.315 Å, 38.90 deg, intensity 37.1
- d = 2.080 Å, 43.50 deg, intensity 33.6
- d = 2.007 Å, 45.17 deg, intensity 18.8
- d = 1.849 Å, 49.30 deg, intensity 22.8
- d = 1.727 Å, 53.04 deg, intensity 17.5
- d = 1.447 Å, 64.38 deg, intensity 13.3
- d = 1.329 Å, 70.93 deg, intensity 14.7

---

No. 4
# CsGe
Computed X-ray powder pattern, Cu Kα X-rays. Input: a cell relaxed with GGA-PBE.

Atomic structure:
Lattice parameters (Å, degrees): 12.624 12.624 12.624 124.67 124.67 82.09
Positions (direct):
Cs (0.005, 0.255, 0.511)
Cs (0.109, 0.750, 0.859)
Cs (0.245, 0.495, 0.989)
Cs (0.250, 0.109, 0.859)
Cs (0.250, 0.609, 0.359)
Cs (0.255, 0.245, 0.250)
Cs (0.391, 0.250, 0.641)
Cs (0.495, 0.005, 0.250)
Cs (0.505, 0.995, 0.750)
Cs (0.609, 0.750, 0.359)
Cs (0.745, 0.755, 0.750)
Cs (0.750, 0.391, 0.641)
Cs (0.750, 0.891, 0.141)
Cs (0.755, 0.505, 0.011)
Cs (0.891, 0.250, 0.141)
Cs (0.995, 0.745, 0.489)
Ge (0.019, 0.730, 0.096)
Ge (0.077, 0.981, 0.210)
Ge (0.133, 0.923, 0.404)
Ge (0.230, 0.519, 0.596)
Ge (0.270, 0.867, 0.290)
Ge (0.367, 0.770, 0.790)
Ge (0.423, 0.633, 0.904)
Ge (0.481, 0.577, 0.710)
Ge (0.519, 0.423, 0.290)
Ge (0.577, 0.367, 0.096)
Ge (0.633, 0.230, 0.210)
Ge (0.730, 0.133, 0.710)
Ge (0.770, 0.481, 0.404)
Ge (0.867, 0.077, 0.596)
Ge (0.923, 0.019, 0.790)
Ge (0.981, 0.270, 0.904)

Main lines, sorted by position (2θ from 10° to 90°):
- d = 4.042 Å, 21.99 deg, intensity 57.7
- d = 3.695 Å, 24.08 deg, intensity 34.1
- d = 3.454 Å, 25.79 deg, intensity 21.1
- d = 3.205 Å, 27.84 deg, intensity 100.0
- d = 3.081 Å, 28.98 deg, intensity 85.9
- d = 2.929 Å, 30.52 deg, intensity 25.8
- d = 2.801 Å, 31.95 deg, intensity 33.0
- d = 2.496 Å, 35.99 deg, intensity 20.1
- d = 1.900 Å, 47.87 deg, intensity 22.8
- d = 1.699 Å, 53.96 deg, intensity 23.2